Starting from the GGA-PBE geometry in Alexandria, the X-ray diffraction stick pattern of Li3Cu3Pd2 was calculated for Cu Kα (weighted mean of Kα1 and Kα2).

Principal peaks in the range 10° ≤ 2θ ≤ 90°, low angle first:
18.71°, I = 31; 25.80°, I = 41; 27.35°, I = 79; 37.95°, I = 73; 41.60°, I = 28; 43.65°, I = 36; 44.51°, I = 51; 47.41°, I = 100; 48.34°, I = 28; 70.94°, I = 23

```
Li3Cu3Pd2
1.0
3.261 1.883 2.909
-3.261 1.883 2.909
0.000 -3.765 2.909
Li Cu Pd
3 3 2
Cartesian
-2.455 0.487 2.909 Li
0.806 -2.369 2.909 Li
1.649 1.883 2.909 Li
-0.770 -1.333 4.364 Cu
-0.770 1.333 4.364 Cu
1.539 0.000 4.364 Cu
0.000 0.000 2.184 Pd
0.000 0.000 6.544 Pd
```


Starting from the GGA-PBE geometry in Alexandria, the X-ray diffraction stick pattern of LiCu5Pd2 was calculated for Cu Kα (weighted mean of Kα1 and Kα2).

Principal peaks in the range 10° ≤ 2θ ≤ 90°, low angle first:
24.02°, I = 7; 34.12°, I = 6; 42.09°, I = 100; 48.91°, I = 31; 49.18°, I = 16; 71.55°, I = 5; 71.87°, I = 22; 86.67°, I = 11; 86.85°, I = 10; 87.16°, I = 11

```
LiCu5Pd2
1.0
5.259 0.000 0.000
0.000 10.550 0.000
0.000 0.000 3.706
Li Cu Pd
2 10 4
Cartesian
0.000 0.000 0.000 Li
2.629 5.275 0.000 Li
0.000 5.275 0.000 Cu
0.081 2.659 0.000 Cu
1.233 6.639 1.853 Cu
1.396 1.364 1.853 Cu
2.548 7.933 0.000 Cu
2.629 0.000 0.000 Cu
2.711 2.616 0.000 Cu
3.863 9.186 1.853 Cu
4.026 3.911 1.853 Cu
5.178 7.891 0.000 Cu
1.234 9.276 1.853 Pd
1.396 4.001 1.853 Pd
3.863 6.549 1.853 Pd
4.025 1.274 1.853 Pd
```


Starting from the GGA-PBE geometry in Alexandria, the X-ray diffraction stick pattern of LiCuPd5 was calculated for Cu Kα (weighted mean of Kα1 and Kα2).

Principal peaks in the range 10° ≤ 2θ ≤ 90°, low angle first:
20.06°, I = 50; 23.40°, I = 36; 39.18°, I = 26; 40.77°, I = 100; 41.09°, I = 97; 47.50°, I = 64; 47.85°, I = 31; 69.72°, I = 39; 83.55°, I = 24; 84.19°, I = 23

```
LiCuPd5
1.0
2.723 -3.802 0.000
2.723 3.802 0.000
0.000 0.000 5.383
Li Cu Pd
1 1 5
Cartesian
0.000 0.000 0.000 Li
2.723 0.000 2.692 Cu
1.361 1.901 1.381 Pd
1.361 1.901 4.002 Pd
1.361 -1.901 1.381 Pd
1.361 -1.901 4.002 Pd
2.723 0.000 0.000 Pd
```


Starting from the GGA-PBE geometry in Alexandria, the X-ray diffraction stick pattern of Li2Cu3Pd8 was calculated for Cu Kα (weighted mean of Kα1 and Kα2).

Principal peaks in the range 10° ≤ 2θ ≤ 90°, low angle first:
22.11°, I = 21; 24.49°, I = 34; 31.11°, I = 32; 37.07°, I = 20; 39.23°, I = 21; 41.70°, I = 61; 42.56°, I = 100; 42.84°, I = 94; 43.67°, I = 100; 62.84°, I = 28

```
Li2Cu3Pd8
1.0
5.757 -3.569 0.000
5.757 3.569 0.000
-0.787 0.000 4.850
Li Cu Pd
2 3 8
Cartesian
2.147 0.000 1.263 Li
8.580 0.000 3.587 Li
0.000 0.000 0.000 Cu
5.364 2.332 2.425 Cu
5.364 -2.332 2.425 Cu
1.594 0.000 3.636 Pd
4.376 1.336 0.216 Pd
4.123 0.000 2.769 Pd
6.351 1.336 4.635 Pd
4.376 -1.336 0.216 Pd
6.605 0.000 2.082 Pd
6.351 -1.336 4.635 Pd
9.133 0.000 1.215 Pd
```


Starting from the GGA-PBE geometry in Alexandria, the X-ray diffraction stick pattern of Li2Cu3Pd2 was calculated for Cu Kα (weighted mean of Kα1 and Kα2).

Principal peaks in the range 10° ≤ 2θ ≤ 90°, low angle first:
15.77°, I = 28; 16.59°, I = 96; 28.60°, I = 32; 36.60°, I = 32; 39.63°, I = 28; 40.53°, I = 59; 41.60°, I = 77; 43.05°, I = 44; 44.78°, I = 100; 49.89°, I = 27

```
Li2Cu3Pd2
1.0
6.255 -1.332 0.000
6.255 1.332 0.000
-2.784 0.000 5.700
Li Cu Pd
2 3 2
Cartesian
0.419 0.000 1.146 Li
9.306 0.000 4.554 Li
-1.392 0.000 2.850 Cu
1.019 0.000 3.641 Cu
8.706 0.000 2.059 Cu
4.241 0.000 0.623 Pd
5.484 0.000 5.077 Pd
```


Starting from the GGA-PBE geometry in Alexandria, the X-ray diffraction stick pattern of LiPm2CuPd2 was calculated for Cu Kα (weighted mean of Kα1 and Kα2).

Principal peaks in the range 10° ≤ 2θ ≤ 90°, low angle first:
24.36°, I = 54; 30.38°, I = 65; 30.90°, I = 60; 32.76°, I = 100; 39.32°, I = 68; 39.74°, I = 65; 43.89°, I = 83; 50.83°, I = 31; 58.65°, I = 24; 68.07°, I = 26

```
LiPm2CuPd2
1.0
-2.894 7.306 2.942
2.894 -7.306 2.942
2.894 7.306 -2.942
Li Pm Cu Pd
2 4 2 4
Cartesian
0.000 0.000 1.471 Li
0.000 0.000 4.413 Li
4.268 2.407 0.000 Pm
1.375 4.900 0.000 Pm
1.519 2.407 2.942 Pm
-1.375 4.900 2.942 Pm
2.894 0.000 1.471 Cu
0.000 7.306 1.471 Cu
1.405 1.785 0.000 Pd
1.405 -1.785 2.942 Pd
1.489 9.092 0.000 Pd
1.489 5.521 2.942 Pd
```


Starting from the GGA-PBE geometry in Alexandria, the X-ray diffraction stick pattern of LiPr2Cu2Pd5 was calculated for Cu Kα (weighted mean of Kα1 and Kα2).

Principal peaks in the range 10° ≤ 2θ ≤ 90°, low angle first:
13.11°, I = 26; 29.27°, I = 30; 30.76°, I = 42; 37.43°, I = 100; 38.88°, I = 77; 40.06°, I = 33; 40.97°, I = 61; 44.28°, I = 24; 45.75°, I = 37; 61.56°, I = 39

```
LiPr2Cu2Pd5
1.0
9.550 0.000 0.000
0.000 9.550 0.000
0.000 0.000 3.966
Li Pr Cu Pd
2 4 4 10
Cartesian
0.000 0.000 0.000 Li
4.775 4.775 0.000 Li
1.713 3.062 0.000 Pr
3.062 7.837 0.000 Pr
6.488 1.713 0.000 Pr
7.837 6.488 0.000 Pr
1.123 5.898 0.000 Cu
3.652 1.123 0.000 Cu
5.898 8.427 0.000 Cu
8.427 3.652 0.000 Cu
0.000 4.775 1.983 Pd
0.621 7.593 1.983 Pd
1.957 0.621 1.983 Pd
2.818 5.396 1.983 Pd
4.154 2.818 1.983 Pd
4.775 0.000 1.983 Pd
5.396 6.732 1.983 Pd
6.732 4.154 1.983 Pd
7.593 8.929 1.983 Pd
8.929 1.957 1.983 Pd
```


Starting from the GGA-PBE geometry in Alexandria, the X-ray diffraction stick pattern of Li2Cu2Pd5Pt was calculated for Cu Kα (weighted mean of Kα1 and Kα2).

Principal peaks in the range 10° ≤ 2θ ≤ 90°, low angle first:
14.20°, I = 17; 20.14°, I = 29; 22.55°, I = 34; 36.56°, I = 18; 39.40°, I = 100; 43.38°, I = 32; 45.40°, I = 24; 46.03°, I = 20; 48.27°, I = 15; 80.72°, I = 17

```
Li2Cu2Pd5Pt
1.0
8.818 0.000 0.000
0.000 8.818 0.000
0.000 0.000 3.995
Li Cu Pd Pt
4 4 10 2
Cartesian
1.528 2.881 0.000 Li
2.881 7.290 0.000 Li
5.937 1.528 0.000 Li
7.290 5.937 0.000 Li
1.091 5.500 0.000 Cu
3.318 1.091 0.000 Cu
5.500 7.728 0.000 Cu
7.728 3.318 0.000 Cu
0.000 4.409 1.998 Pd
0.699 7.042 1.998 Pd
1.777 0.699 1.998 Pd
2.632 5.108 1.998 Pd
3.711 2.632 1.998 Pd
4.409 0.000 1.998 Pd
5.108 6.186 1.998 Pd
6.186 3.711 1.998 Pd
7.042 8.120 1.998 Pd
8.120 1.777 1.998 Pd
0.000 0.000 0.000 Pt
4.409 4.409 0.000 Pt
```


Starting from the GGA-PBE geometry in Alexandria, the X-ray diffraction stick pattern of Li2Zn5CuPd2 was calculated for Cu Kα (weighted mean of Kα1 and Kα2).

Principal peaks in the range 10° ≤ 2θ ≤ 90°, low angle first:
19.19°, I = 14; 21.48°, I = 79; 32.43°, I = 10; 39.23°, I = 100; 40.19°, I = 11; 42.86°, I = 46; 47.36°, I = 17; 49.16°, I = 21; 53.32°, I = 14; 54.23°, I = 13

```
Li2Zn5CuPd2
1.0
9.251 0.000 0.000
0.000 9.251 0.000
0.000 0.000 3.707
Li Zn Cu Pd
4 10 2 4
Cartesian
1.560 3.066 0.000 Li
3.066 7.691 0.000 Li
6.186 1.560 0.000 Li
7.691 6.186 0.000 Li
0.000 4.626 1.854 Zn
0.668 7.509 1.854 Zn
1.742 0.668 1.854 Zn
2.883 5.294 1.854 Zn
3.958 2.883 1.854 Zn
4.626 0.000 1.854 Zn
5.294 6.368 1.854 Zn
6.368 3.958 1.854 Zn
7.509 8.584 1.854 Zn
8.584 1.742 1.854 Zn
0.000 0.000 0.000 Cu
4.626 4.626 0.000 Cu
1.200 5.825 0.000 Pd
3.426 1.200 0.000 Pd
5.825 8.052 0.000 Pd
8.052 3.426 0.000 Pd
```


Starting from the GGA-PBE geometry in Alexandria, the X-ray diffraction stick pattern of LiPm2Cu16 was calculated for Cu Kα (weighted mean of Kα1 and Kα2).

Principal peaks in the range 10° ≤ 2θ ≤ 90°, low angle first:
29.66°, I = 30; 36.16°, I = 30; 37.29°, I = 21; 42.00°, I = 50; 42.22°, I = 100; 42.89°, I = 34; 47.44°, I = 28; 61.61°, I = 25; 69.19°, I = 16; 76.73°, I = 21

```
LiPm2Cu16
1.0
4.303 2.484 4.217
-4.303 2.484 4.217
0.000 -4.968 4.217
Li Pm Cu
1 2 16
Cartesian
0.000 0.000 0.000 Li
0.000 0.000 3.239 Pm
0.000 0.000 7.195 Pm
-2.163 -1.249 5.025 Cu
-1.751 -2.487 7.253 Cu
-3.029 -0.273 7.253 Cu
0.000 -2.475 5.296 Cu
-2.143 1.237 5.296 Cu
-2.142 -1.237 9.367 Cu
2.163 -1.249 5.025 Cu
0.000 2.498 5.025 Cu
1.751 -2.487 7.253 Cu
-1.278 2.760 7.253 Cu
2.143 1.237 5.296 Cu
0.000 0.000 10.235 Cu
2.142 -1.237 9.367 Cu
0.000 2.473 9.367 Cu
3.029 -0.273 7.253 Cu
1.278 2.760 7.253 Cu
```


Starting from the GGA-PBE geometry in Alexandria, the X-ray diffraction stick pattern of Li3Pm2ZnCu12 was calculated for Cu Kα (weighted mean of Kα1 and Kα2).

Principal peaks in the range 10° ≤ 2θ ≤ 90°, low angle first:
21.20°, I = 22; 27.65°, I = 48; 30.84°, I = 17; 34.65°, I = 28; 41.62°, I = 100; 42.01°, I = 23; 42.91°, I = 17; 43.30°, I = 69; 47.17°, I = 18; 61.60°, I = 22

```
Li3Pm2ZnCu12
1.0
4.340 2.506 4.190
-4.340 2.506 4.190
0.000 -5.011 4.190
Li Pm Zn Cu
3 2 1 12
Cartesian
-2.170 -1.253 4.190 Li
-2.170 1.253 8.380 Li
0.000 2.506 4.190 Li
0.000 0.000 2.744 Pm
0.000 0.000 9.826 Pm
0.000 0.000 6.285 Zn
0.000 -2.884 3.356 Cu
-2.497 1.442 3.356 Cu
-2.025 -1.169 6.853 Cu
0.000 -2.339 5.717 Cu
-2.025 1.169 5.717 Cu
-2.497 -1.442 9.214 Cu
2.497 1.442 3.356 Cu
2.025 -1.169 6.853 Cu
0.000 2.339 6.853 Cu
2.025 1.169 5.717 Cu
2.497 -1.442 9.214 Cu
0.000 2.884 9.214 Cu
```


Starting from the GGA-PBE geometry in Alexandria, the X-ray diffraction stick pattern of LiPrCu4 was calculated for Cu Kα (weighted mean of Kα1 and Kα2).

Principal peaks in the range 10° ≤ 2θ ≤ 90°, low angle first:
21.14°, I = 26; 24.46°, I = 31; 34.87°, I = 25; 41.13°, I = 100; 43.05°, I = 41; 56.55°, I = 10; 66.79°, I = 31; 73.62°, I = 22; 87.99°, I = 10; 89.27°, I = 14

```
LiPrCu4
1.0
0.000 3.639 3.639
3.639 0.000 3.639
3.639 3.639 0.000
Li Pr Cu
1 1 4
Cartesian
0.000 0.000 0.000 Li
1.820 1.820 1.820 Pr
4.566 2.713 2.713 Cu
2.713 4.566 2.713 Cu
2.713 2.713 4.566 Cu
4.566 4.566 4.566 Cu
```